Diffraction record for VCrC. The X-ray diffraction stick pattern is theoretical, not measured: it uses a crystal structure in the Materials Project, relaxed with GGA-PBE and λ = 1.5418 Å (Cu Kα).
Peak positions follow from Bragg's law for the DFT cell and can differ from measured ones.

Main lines, sorted by position (2θ = 15–90°):
- (0 2 0), 2θ 36.39, I 11.3
- (0 1 2), 2θ 36.55, I 12.6
- (2 0 0), 2θ 40.65, I 28.7
- (1 2 0), 2θ 41.87, I 43.5
- (1 1 2), 2θ 42.01, I 100.0
- (2 2 0), 2θ 55.69, I 11.1
- (2 1 2), 2θ 55.80, I 14.9
- (0 3 2), 2θ 65.59, I 17.1
- (0 0 4), 2θ 65.90, I 8.1
- (3 1 2), 2θ 74.87, I 20.7
- (2 3 2), 2θ 80.10, I 12.7
- (1 2 4), 2θ 81.20, I 9.6

Structure:
a = 4.4392 Å, b = 4.9374 Å, c = 5.6696 Å
α = 90.00°, β = 90.00°, γ = 90.00°
Positions (direct):
V: 0.2339 0.1757 0.1390
V: 0.2661 0.6757 0.8610
V: 0.7339 0.3243 0.8610
V: 0.7661 0.8243 0.1390
Cr: 0.2494 0.6722 0.3706
Cr: 0.2506 0.1722 0.6294
Cr: 0.7494 0.8278 0.6294
Cr: 0.7506 0.3278 0.3706
C: 0.0000 0.0000 0.8718
C: 0.0000 0.5000 0.6167
C: 0.5000 0.0000 0.3833
C: 0.5000 0.5000 0.1282